[1]
This entry pairs a crystal structure of LiGdP4O12 with its theoretical powder diffraction line list. Radiation: λ = 1.5418 Å (Cu Kα). Structure: DFT lattice parameters and positions (PBE).
Kinematic intensities with the Lorentz-polarization factor, no thermal factor.

Crystal structure
abc: 16.554 7.156 9.793
angles: 90.00 126.21 90.00
Space group C2/c (No. 15)
Unique sites:
Li1 0.000 0.205 0.250 (multiplicity 4)
Gd1 0.000 0.297 0.750 (multiplicity 4)
P1 0.138 0.053 0.615 (multiplicity 8)
P2 0.146 0.347 0.195 (multiplicity 8)
O1 0.067 0.006 0.430 (multiplicity 8)
O2 0.073 0.412 0.229 (multiplicity 8)
O3 0.112 0.213 0.683 (multiplicity 8)
O4 0.126 0.384 0.027 (multiplicity 8)
O5 0.157 0.124 0.232 (multiplicity 8)
O6 0.245 0.082 0.651 (multiplicity 8)

Peak list (12 most intense, 2θ = 15–90°, by angle)
(1 1 -1), 15.34 deg, rel. 47; (3 1 -1), 20.33 deg, rel. 100; (0 0 2), 22.51 deg, rel. 72; (1 1 -2), 22.99 deg, rel. 23; (2 2 -1), 27.37 deg, rel. 35; (3 1 -3), 30.09 deg, rel. 25; (3 1 1), 30.94 deg, rel. 40; (6 0 -2), 32.46 deg, rel. 51; (0 2 2), 33.80 deg, rel. 19; (1 3 0), 38.33 deg, rel. 14; (7 1 -3), 40.66 deg, rel. 15; (6 2 -4), 47.02 deg, rel. 26


[2]
This entry pairs a crystal structure of CaSnPt with its theoretical powder diffraction line list. Radiation: λ = 1.5418 Å (Cu Kα). Structure: DFT lattice parameters and positions (PBE).
Kinematic intensities with the Lorentz-polarization factor, no thermal factor.

Crystal structure
abc: 7.422 4.668 7.974
angles: 90.00 90.00 90.00
Space group Pnma (No. 62)
Unique sites:
Ca1 0.014 0.250 0.191 (multiplicity 4)
Sn1 0.174 0.250 0.579 (multiplicity 4)
Pt1 0.206 0.750 0.403 (multiplicity 4)

Peak list (12 most intense, 2θ = 15–90°, by angle)
(1 0 1), 16.31 deg, rel. 46; (0 1 1), 22.07 deg, rel. 65; (2 0 0), 23.98 deg, rel. 60; (1 1 2), 31.89 deg, rel. 50; (2 1 1), 32.81 deg, rel. 84; (3 0 1), 38.08 deg, rel. 56; (0 2 0), 38.58 deg, rel. 62; (0 1 3), 38.99 deg, rel. 100; (2 1 3), 46.30 deg, rel. 52; (3 1 2), 47.43 deg, rel. 47; (3 2 1), 55.33 deg, rel. 38; (3 1 4), 63.11 deg, rel. 27


[3]
This entry pairs a crystal structure of AcSnHg2 with its theoretical powder diffraction line list. Radiation: λ = 1.5418 Å (Cu Kα). Structure: DFT lattice parameters and positions (PBE).
Kinematic intensities with the Lorentz-polarization factor, no thermal factor.

Crystal structure
abc: 7.723 7.723 7.723
angles: 90.00 90.00 90.00
Space group Fm-3m (No. 225)
Unique sites:
Ac1 0.000 0.000 0.000 (multiplicity 4)
Sn1 0.000 0.000 0.500 (multiplicity 4)
Hg1 0.250 0.250 0.250 (multiplicity 8)

Peak list (12 most intense, 2θ = 15–90°, by angle)
(1 1 1), 19.91 deg, rel. 4; (2 0 0), 23.03 deg, rel. 1; (2 2 0), 32.80 deg, rel. 100; (3 1 1), 38.67 deg, rel. 2; (4 0 0), 47.07 deg, rel. 19; (3 3 1), 51.59 deg, rel. 1; (4 2 2), 58.55 deg, rel. 39; (5 1 1), 62.49 deg, rel. 1; (4 4 0), 68.76 deg, rel. 12; (5 3 1), 72.39 deg, rel. 1; (6 2 0), 78.30 deg, rel. 17; (4 4 4), 87.51 deg, rel. 5